Record 1
Diffraction record for Ba2SrTm6O12. The powder X-ray diffraction pattern is computed, not measured: it uses a structure optimized by DFT (PBE) and Cu Ka.
No peak broadening, texture or thermal motion is included.

Structure:
Cell lengths 10.3633, 10.3633, 3.4419 Å; angles 90.00, 90.00, 120.00 degrees
Fractional coordinates of all 21 atoms:
Ba1 0.0000 0.0000 0.0000
Ba2 0.3333 0.6667 0.7563
Sr1 0.6667 0.3333 0.5045
Tm1 0.3352 0.3198 0.4946
Tm2 0.3388 0.0173 0.0078
Tm3 0.6786 0.6612 0.0078
Tm4 0.6802 0.0154 0.4946
Tm5 0.9827 0.3214 0.0078
Tm6 0.9846 0.6648 0.4946
O1 0.0369 0.4806 0.5060
O2 0.1425 0.7805 0.9968
O3 0.2195 0.3619 0.9968
O4 0.2240 0.0690 0.5027
O5 0.4436 0.9631 0.5060
O6 0.4601 0.2737 0.0018
O7 0.5194 0.5564 0.5060
O8 0.6381 0.8575 0.9968
O9 0.7263 0.1864 0.0018
O10 0.8136 0.5399 0.0018
O11 0.8450 0.7760 0.5027
O12 0.9310 0.1550 0.5027

The 10 most intense peaks (2θ from 5° to 70°), most intense first:
d/Å	intensity
2.992	1000
2.867	749
1.702	369
2.070	362
1.727	210
1.492	162
2.416	156
1.496	125
5.182	77
1.721	66

***

Record 2
Diffraction record for BaSr2Tm6O12. The powder X-ray diffraction pattern is computed, not measured: it uses a structure optimized by DFT (PBE) and Cu Ka.
No peak broadening, texture or thermal motion is included.

Structure:
Cell lengths 10.2824, 10.2824, 3.4079 Å; angles 90.00, 90.00, 120.00 degrees
Fractional coordinates of all 21 atoms:
Ba1 0.0000 0.0000 0.0000
Sr1 0.3333 0.6667 0.0000
Sr2 0.6667 0.3333 0.5000
Tm1 0.9999 0.3490 0.0000
Tm2 0.0009 0.6537 0.5000
Tm3 0.3463 0.3472 0.5000
Tm4 0.3492 0.0001 0.0000
Tm5 0.6510 0.6508 0.0000
Tm6 0.6528 0.9991 0.5000
O1 0.1142 0.8065 0.0000
O2 0.1219 0.5203 0.5000
O3 0.1935 0.3077 0.0000
O4 0.2901 0.1054 0.5000
O5 0.3983 0.8781 0.5000
O6 0.4797 0.6017 0.5000
O7 0.5209 0.3960 0.0000
O8 0.6040 0.1249 0.0000
O9 0.6923 0.8858 0.0000
O10 0.8153 0.7099 0.5000
O11 0.8751 0.4791 0.0000
O12 0.8946 0.1847 0.5000

The 10 most intense peaks (2θ from 5° to 70°), most intense first:
d/Å	intensity
2.968	1000
2.841	792
1.688	389
2.052	385
1.478	254
1.714	212
2.395	138
1.484	125
5.141	123
1.704	96

***

Record 3
Diffraction record for Ba2SrUO6. The powder X-ray diffraction pattern is computed, not measured: it uses a structure optimized by DFT (PBE) and Cu Ka.
No peak broadening, texture or thermal motion is included.

Structure:
Cell lengths 6.3003, 6.3720, 10.9101 Å; angles 90.00, 125.03, 90.00 degrees
Fractional coordinates of all 20 atoms:
Ba1 0.2421 0.0352 0.2511
Ba2 0.2421 0.4648 0.7511
Ba3 0.7579 0.5352 0.2489
Ba4 0.7579 0.9648 0.7489
Sr1 0.5000 0.0000 0.0000
Sr2 0.5000 0.5000 0.5000
U1 0.0000 0.0000 0.5000
U2 0.0000 0.5000 0.0000
O1 0.1355 0.2345 0.9478
O2 0.1355 0.2655 0.4478
O3 0.2231 0.6902 0.9577
O4 0.2231 0.8098 0.4577
O5 0.3141 0.0315 0.7263
O6 0.3141 0.4685 0.2263
O7 0.6859 0.5315 0.7737
O8 0.6859 0.9685 0.2737
O9 0.7769 0.1902 0.5423
O10 0.7769 0.3098 0.0423
O11 0.8645 0.7345 0.5522
O12 0.8645 0.7655 0.0522

The 10 most intense peaks (2θ from 5° to 70°), most intense first:
d/Å	intensity
3.163	1000
2.240	245
3.150	240
3.186	240
5.177	203
1.835	186
1.828	174
1.818	171
2.233	129
1.824	112

***

Record 4
Diffraction record for BaSr4U3O14. The powder X-ray diffraction pattern is computed, not measured: it uses a structure optimized by DFT (PBE) and Cu Ka.
No peak broadening, texture or thermal motion is included.

Structure:
Cell lengths 8.1177, 8.1177, 11.1237 Å; angles 90.00, 90.00, 89.92 degrees
Fractional coordinates of all 44 atoms:
Ba1 0.0000 0.0000 0.0000
Ba2 0.5000 0.5000 0.5000
Sr1 0.2290 0.2710 0.2500
Sr2 0.2486 0.7514 0.7250
Sr3 0.2514 0.7486 0.2250
Sr4 0.2710 0.2290 0.7500
Sr5 0.7290 0.7710 0.2500
Sr6 0.7486 0.2514 0.7750
Sr7 0.7514 0.2486 0.2750
Sr8 0.7710 0.7290 0.7500
U1 0.0000 0.0000 0.5000
U2 0.0000 0.5000 0.0000
U3 0.0000 0.5000 0.5000
U4 0.5000 0.0000 0.0000
U5 0.5000 0.0000 0.5000
U6 0.5000 0.5000 0.0000
O1 0.0071 0.2465 0.4268
O2 0.0323 0.3072 0.8830
O3 0.0328 0.6844 0.8756
O4 0.0656 0.9344 0.3371
O5 0.1844 0.5328 0.3756
O6 0.1928 0.4677 0.6170
O7 0.2465 0.0071 0.5732
O8 0.2535 0.4929 0.0732
O9 0.3072 0.0323 0.1170
O10 0.3156 0.9672 0.8756
O11 0.4344 0.5656 0.8371
O12 0.4672 0.8156 0.3756
O13 0.4677 0.1928 0.3830
O14 0.4929 0.2535 0.9268
O15 0.5071 0.7465 0.0732
O16 0.5323 0.8072 0.6170
O17 0.5328 0.1844 0.6244
O18 0.5656 0.4344 0.1629
O19 0.6844 0.0328 0.1244
O20 0.6928 0.9677 0.8830
O21 0.7465 0.5071 0.9268
O22 0.7535 0.9929 0.4268
O23 0.8072 0.5323 0.3830
O24 0.8156 0.4672 0.6244
O25 0.9344 0.0656 0.6629
O26 0.9672 0.3156 0.1244
O27 0.9677 0.6928 0.1170
O28 0.9929 0.7535 0.5732

The 10 most intense peaks (2θ from 5° to 70°), most intense first:
d/Å	intensity
3.279	1000
1.726	314
1.997	284
2.870	278
5.562	163
4.059	160
2.029	158
1.686	140
1.639	117
2.781	115

***

Record 5
Diffraction record for Ba2SrUO6. The powder X-ray diffraction pattern is computed, not measured: it uses a structure optimized by DFT (PBE) and Cu Ka.
No peak broadening, texture or thermal motion is included.

Structure:
Cell lengths 6.2773, 6.2773, 6.2773 Å; angles 61.24, 61.24, 61.24 degrees
Fractional coordinates of all 10 atoms:
Ba1 0.2466 0.2466 0.2466
Ba2 0.7534 0.7534 0.7534
Sr1 0.5000 0.5000 0.5000
U1 0.0000 0.0000 0.0000
O1 0.1526 0.3043 0.7787
O2 0.2213 0.8474 0.6957
O3 0.3043 0.7787 0.1526
O4 0.6957 0.2213 0.8474
O5 0.7787 0.1526 0.3043
O6 0.8474 0.6957 0.2213

The 10 most intense peaks (2θ from 5° to 70°), most intense first:
d/Å	intensity
3.197	1000
3.138	997
2.239	532
1.834	449
5.204	269
1.846	254
1.800	201
1.408	196
1.424	190
1.569	169

***

Record 6
Diffraction record for Ba2SrUO6. The powder X-ray diffraction pattern is computed, not measured: it uses a structure optimized by DFT (PBE) and Cu Ka.
No peak broadening, texture or thermal motion is included.

Structure:
Cell lengths 6.3587, 6.3587, 6.3587 Å; angles 60.00, 60.00, 60.00 degrees
Fractional coordinates of all 10 atoms:
Ba1 0.2500 0.2500 0.2500
Ba2 0.7500 0.7500 0.7500
Sr1 0.0000 0.0000 0.0000
U1 0.5000 0.5000 0.5000
O1 0.2678 0.2678 0.7322
O2 0.2678 0.7322 0.2678
O3 0.2678 0.7322 0.7322
O4 0.7322 0.2678 0.2678
O5 0.7322 0.2678 0.7322
O6 0.7322 0.7322 0.2678

The 10 most intense peaks (2θ from 5° to 70°), most intense first:
d/Å	intensity
3.179	1000
1.836	421
2.248	293
1.422	193
1.590	189
5.192	158
2.711	80
1.731	37
1.520	36
2.063	31